[1]
Diffraction record for Ba7AgBi2O2. The powder X-ray diffraction pattern is calculated, not measured: it uses a PBE-relaxed structure and Cu Kα (weighted mean of Kα1 and Kα2).
Neutral-atom scattering factors, no anomalous dispersion.

The 8 most intense peaks (10 to 90 degrees two-theta), sorted by position:
24.1 deg, rel. 17
26.1 deg, rel. 35
29.3 deg, rel. 100
33.3 deg, rel. 58
44.9 deg, rel. 27
47.7 deg, rel. 18
53.8 deg, rel. 16
57.0 deg, rel. 37

Structural model:
```
12
Lattice="-2.694 2.694 15.237 2.694 -2.694 15.237 2.694 2.694 -15.237" Properties=species:S:1:pos:R:3 pbc="T T T"
Ba 0.000 0.000 0.000
Ba 2.694 0.000 2.930
Ba 0.000 0.000 6.170
Ba 2.694 0.000 12.307
Ba 0.000 2.694 2.930
Ba 0.000 0.000 24.304
Ba 0.000 2.694 12.307
Ag 0.000 0.000 15.237
Bi 0.000 0.000 9.748
Bi 0.000 0.000 20.726
O 0.000 0.000 2.787
O 0.000 0.000 27.687
```

=====

[2]
Diffraction record for NbSnHg. The powder X-ray diffraction pattern is calculated, not measured: it uses a PBE-relaxed structure and Cu Kα (weighted mean of Kα1 and Kα2).
Neutral-atom scattering factors, no anomalous dispersion.

The 8 most intense peaks (10 to 90 degrees two-theta), sorted by position:
18.9 deg, rel. 26
31.5 deg, rel. 41
33.3 deg, rel. 20
36.3 deg, rel. 96
36.7 deg, rel. 100
38.2 deg, rel. 56
50.3 deg, rel. 27
76.8 deg, rel. 22

Structural model:
```
12
Lattice="2.870 -5.687 0.000 2.870 5.687 0.000 0.000 0.000 8.259" Properties=species:S:1:pos:R:3 pbc="T T T"
Nb 2.870 4.544 7.640
Nb 2.870 1.144 3.510
Nb 2.870 -1.144 4.748
Nb 2.870 -4.544 0.619
Sn 2.870 3.820 4.825
Sn 2.870 1.867 0.696
Sn 2.870 -1.867 7.563
Sn 2.870 -3.820 3.433
Hg 1.435 1.099 6.194
Hg 1.435 -1.099 2.065
Hg 4.305 1.099 6.194
Hg 4.305 -1.099 2.065
```

=====

[3]
Diffraction record for Li2SmAgPd2. The powder X-ray diffraction pattern is calculated, not measured: it uses a PBE-relaxed structure and Cu Kα (weighted mean of Kα1 and Kα2).
Neutral-atom scattering factors, no anomalous dispersion.

The 8 most intense peaks (10 to 90 degrees two-theta), sorted by position:
23.5 deg, rel. 24
27.2 deg, rel. 53
36.2 deg, rel. 100
41.4 deg, rel. 59
48.0 deg, rel. 12
56.1 deg, rel. 28
71.9 deg, rel. 21
72.1 deg, rel. 26

Structural model:
```
6
Lattice="4.367 0.000 0.000 -2.183 3.782 0.000 0.000 0.000 6.571" Properties=species:S:1:pos:R:3 pbc="T T T"
Li 0.000 2.521 0.988
Li 2.183 1.261 5.583
Sm 0.000 0.000 3.286
Ag 0.000 0.000 0.000
Pd 0.000 2.521 4.920
Pd 2.183 1.261 1.651
```

=====

[4]
Diffraction record for Pu2Co2Rh. The powder X-ray diffraction pattern is calculated, not measured: it uses a PBE-relaxed structure and Cu Kα (weighted mean of Kα1 and Kα2).
Neutral-atom scattering factors, no anomalous dispersion.

The 8 most intense peaks (10 to 90 degrees two-theta), sorted by position:
27.0 deg, rel. 46
35.4 deg, rel. 100
38.5 deg, rel. 31
39.8 deg, rel. 20
41.1 deg, rel. 31
43.1 deg, rel. 29
57.5 deg, rel. 20
73.9 deg, rel. 25

Structural model:
```
5
Lattice="-2.198 2.501 3.968 2.198 -2.501 3.968 2.198 2.501 -3.968" Properties=species:S:1:pos:R:3 pbc="T T T"
Pu 0.000 0.000 1.618
Pu 0.000 0.000 6.317
Co 2.198 1.171 0.000
Co 0.000 1.330 3.968
Rh 0.000 2.501 0.000
```

=====

[5]
Diffraction record for ErMg5Au6. The powder X-ray diffraction pattern is calculated, not measured: it uses a PBE-relaxed structure and Cu Kα (weighted mean of Kα1 and Kα2).
Neutral-atom scattering factors, no anomalous dispersion.

The 8 most intense peaks (10 to 90 degrees two-theta), sorted by position:
26.3 deg, rel. 61
26.9 deg, rel. 30
37.6 deg, rel. 68
38.0 deg, rel. 100
38.1 deg, rel. 33
54.2 deg, rel. 24
68.1 deg, rel. 24
68.2 deg, rel. 23

Structural model:
```
12
Lattice="4.743 0.000 0.000 0.000 6.770 0.000 -2.225 0.000 7.085" Properties=species:S:1:pos:R:3 pbc="T T T"
Er 0.000 0.000 0.000
Mg 0.000 3.385 0.000
Mg 0.089 0.000 4.671
Mg 0.075 3.385 4.765
Mg 2.444 3.385 2.320
Mg 2.430 0.000 2.414
Au 0.078 1.750 2.409
Au 0.078 5.020 2.409
Au 2.372 1.762 0.000
Au 2.372 5.008 0.000
Au 2.441 1.750 4.676
Au 2.441 5.020 4.676
```